Record 1
Diffraction record for KCaAs4. The X-ray powder pattern is simulated, not measured: it uses a cell relaxed with GGA-PBE and Cu Kα.

Top 10 peaks for 2θ from 10° to 90°, low angle first:
2θ = 18.61°, I = 34.9, (1 1 1)
2θ = 30.62°, I = 12.1, (2 2 0)
2θ = 36.08°, I = 100.0, (3 1 1)
2θ = 37.74°, I = 62.1, (2 2 2)
2θ = 43.86°, I = 16.6, (4 0 0)
2θ = 48.03°, I = 9.4, (3 3 1)
2θ = 58.04°, I = 31.7, (3 3 3)
2θ = 63.76°, I = 30.3, (4 4 0)
2θ = 75.50°, I = 10.6, (5 3 3)
2θ = 76.53°, I = 22.9, (6 2 2)

Structural model:
a = 8.2570 Å, b = 8.2570 Å, c = 8.2570 Å
α = 90.00°, β = 90.00°, γ = 90.00°
Space group F-43m (No. 216)
Inequivalent atoms, fractional coordinates:
K1 0.0000 0.0000 0.0000 [4 per cell]
Ca1 0.2500 0.2500 0.2500 [4 per cell]
As1 0.1240 0.1240 0.6240 [16 per cell]

Record 2
Diffraction record for CsCoSeBr6. The X-ray powder pattern is simulated, not measured: it uses a cell relaxed with GGA-PBE and Cu Kα.

Top 10 peaks for 2θ from 10° to 90°, low angle first:
2θ = 11.21°, I = 100.0, (0 0 1)
2θ = 17.11°, I = 70.2, (0 1 -1)
2θ = 18.90°, I = 56.4, (0 1 1)
2θ = 19.59°, I = 55.7, (-1 1 1)
2θ = 25.41°, I = 37.2, (0 1 -2)
2θ = 27.13°, I = 43.9, (1 1 1)
2θ = 28.58°, I = 67.2, (-2 1 1)
2θ = 30.50°, I = 56.0, (1 1 -2)
2θ = 36.17°, I = 61.7, (-1 2 2)
2θ = 36.34°, I = 54.8, (2 -1 2)

Structural model:
a = 6.7372 Å, b = 6.7528 Å, c = 7.9505 Å
α = 93.85°, β = 94.17°, γ = 110.32°
Space group P1 (No. 1)
Inequivalent atoms, fractional coordinates:
Cs1 0.0000 0.0000 0.0000 [1 per cell]
Co1 0.3762 0.6254 0.5009 [1 per cell]
Se1 0.7327 0.2682 0.5003 [1 per cell]
Br1 0.1044 0.3587 0.6471 [1 per cell]
Br2 0.1066 0.6495 0.2985 [1 per cell]
Br3 0.3545 0.8928 0.7048 [1 per cell]
Br4 0.4116 0.3448 0.3141 [1 per cell]
Br5 0.6419 0.8978 0.3543 [1 per cell]
Br6 0.6587 0.5883 0.6864 [1 per cell]

Record 3
Diffraction record for Th2GaNi7. The X-ray powder pattern is simulated, not measured: it uses a cell relaxed with GGA-PBE and Cu Kα.

Top 10 peaks for 2θ from 10° to 90°, low angle first:
2θ = 16.58°, I = 13.5, (0 0 2)
2θ = 24.71°, I = 28.3, (1 0 1)
2θ = 33.10°, I = 23.1, (1 1 0)
2θ = 34.38°, I = 65.2, (1 0 3)
2θ = 37.24°, I = 100.0, (1 1 2)
2θ = 47.52°, I = 41.7, (2 0 0)
2θ = 48.77°, I = 31.5, (1 0 5)
2θ = 59.95°, I = 26.5, (2 1 3)
2θ = 70.45°, I = 24.0, (0 0 8)
2θ = 81.55°, I = 20.3, (3 1 2)

Structural model:
a = 3.8270 Å, b = 3.8270 Å, c = 10.6961 Å
α = 90.00°, β = 90.00°, γ = 90.00°
Space group P-4m2 (No. 115)
Inequivalent atoms, fractional coordinates:
Th1 0.0000 0.5000 0.2316 [2 per cell]
Ga1 0.0000 0.0000 0.5000 [1 per cell]
Ni1 0.0000 0.0000 0.0000 [1 per cell]
Ni2 0.0000 0.5000 0.6406 [2 per cell]
Ni3 0.0000 0.5000 0.8607 [2 per cell]
Ni4 0.5000 0.5000 0.0000 [1 per cell]
Ni5 0.5000 0.5000 0.5000 [1 per cell]

Record 4
Diffraction record for Cu2Re. The X-ray powder pattern is simulated, not measured: it uses a cell relaxed with GGA-PBE and Cu Kα.

Top 10 peaks for 2θ from 10° to 90°, low angle first:
2θ = 12.69°, I = 67.0, (0 2 0)
2θ = 39.03°, I = 25.1, (1 3 0)
2θ = 40.44°, I = 22.9, (1 1 1)
2θ = 42.13°, I = 39.8, (0 0 2)
2θ = 44.31°, I = 51.1, (0 6 1)
2θ = 44.58°, I = 100.0, (1 3 1)
2θ = 70.30°, I = 15.9, (1 9 0)
2θ = 78.72°, I = 17.9, (1 3 3)
2θ = 85.48°, I = 18.8, (1 9 2)
2θ = 87.54°, I = 16.4, (2 6 1)

Structural model:
a = 2.6582 Å, b = 13.9507 Å, c = 4.2900 Å
α = 90.00°, β = 90.00°, γ = 90.00°
Space group Cmcm (No. 63)
Inequivalent atoms, fractional coordinates:
Cu1 0.0000 0.0549 0.2500 [4 per cell]
Cu2 0.0000 0.3962 0.2500 [4 per cell]
Re1 0.0000 0.2808 0.7500 [4 per cell]

Record 5
Diffraction record for La4Pr5Nd. The X-ray powder pattern is simulated, not measured: it uses a cell relaxed with GGA-PBE and Cu Kα.

Top 10 peaks for 2θ from 10° to 90°, low angle first:
2θ = 27.51°, I = 23.2, (2 2 1)
2θ = 28.75°, I = 100.0, (3 0 1)
2θ = 29.95°, I = 43.6, (3 1 1)
2θ = 30.11°, I = 33.9, (1 0 2)
2θ = 35.34°, I = 31.7, (3 3 0)
2θ = 37.34°, I = 14.4, (4 2 0)
2θ = 50.83°, I = 15.9, (6 0 0)
2θ = 51.72°, I = 26.3, (4 3 2)
2θ = 59.45°, I = 18.3, (6 3 1)
2θ = 68.00°, I = 19.5, (7 0 2)

Structural model:
a = 10.7769 Å, b = 10.7769 Å, c = 6.1752 Å
α = 90.00°, β = 90.00°, γ = 90.00°
Space group P4/nmm (No. 129, origin choice 2)
Inequivalent atoms, fractional coordinates:
La1 0.0494 0.7500 0.1309 [8 per cell]
Pr1 0.0899 0.0899 0.3444 [8 per cell]
Pr2 0.2500 0.7500 0.5000 [2 per cell]
Nd1 0.2500 0.2500 0.8275 [2 per cell]

Record 6
Diffraction record for Y3SnS2. The X-ray powder pattern is simulated, not measured: it uses a cell relaxed with GGA-PBE and Cu Kα.

Top 10 peaks for 2θ from 10° to 90°, low angle first:
2θ = 12.87°, I = 23.2, (0 1 1)
2θ = 15.87°, I = 30.7, (1 0 1)
2θ = 22.93°, I = 23.1, (1 2 1)
2θ = 24.91°, I = 15.9, (1 1 2)
2θ = 31.17°, I = 20.3, (0 1 3)
2θ = 33.25°, I = 31.6, (0 4 0)
2θ = 36.22°, I = 100.0, (2 2 2)
2θ = 36.84°, I = 20.5, (2 3 1)
2θ = 42.65°, I = 14.6, (3 2 1)
2θ = 61.36°, I = 14.4, (2 6 2)

Structural model:
a = 7.1603 Å, b = 10.7780 Å, c = 8.9293 Å
α = 90.00°, β = 90.00°, γ = 90.00°
Space group Imma (No. 74)
Inequivalent atoms, fractional coordinates:
Y1 0.2310 0.0000 0.0000 [8 per cell]
Y2 0.2500 0.2500 0.2500 [4 per cell]
Sn1 0.0000 0.2500 0.9458 [4 per cell]
S1 0.0000 0.0576 0.2974 [8 per cell]

Record 7
Diffraction record for Na2BiI4. The X-ray powder pattern is simulated, not measured: it uses a cell relaxed with GGA-PBE and Cu Kα.

Top 10 peaks for 2θ from 10° to 90°, low angle first:
2θ = 14.63°, I = 39.8, (1 0 1)
2θ = 19.54°, I = 27.8, (0 0 2)
2θ = 24.99°, I = 100.0, (1 1 2)
2θ = 26.42°, I = 38.0, (2 1 1)
2θ = 31.14°, I = 61.9, (2 2 0)
2θ = 37.03°, I = 21.9, (2 2 2)
2θ = 40.34°, I = 53.8, (3 1 2)
2θ = 44.62°, I = 22.3, (4 0 0)
2θ = 45.77°, I = 20.5, (2 0 4)
2θ = 65.83°, I = 24.4, (2 0 6)

Structural model:
a = 8.1228 Å, b = 8.1228 Å, c = 9.0855 Å
α = 90.00°, β = 90.00°, γ = 90.00°
Space group I-42m (No. 121)
Inequivalent atoms, fractional coordinates:
Na1 0.0000 0.5000 0.2500 [4 per cell]
Bi1 0.0000 0.0000 0.0000 [2 per cell]
I1 0.2390 0.2390 0.5847 [8 per cell]

Record 8
Diffraction record for CrSbBr. The X-ray powder pattern is simulated, not measured: it uses a cell relaxed with GGA-PBE and Cu Kα.

Top 10 peaks for 2θ from 10° to 90°, low angle first:
2θ = 12.02°, I = 52.9, (0 0 2)
2θ = 24.17°, I = 35.8, (0 0 4)
2θ = 27.82°, I = 46.0, (1 0 1)
2θ = 32.80°, I = 100.0, (1 0 3)
2θ = 38.76°, I = 62.6, (1 1 0)
2θ = 41.16°, I = 79.0, (1 0 5)
2θ = 46.20°, I = 25.3, (1 1 4)
2θ = 64.59°, I = 23.4, (1 1 8)
2θ = 66.41°, I = 23.8, (2 1 3)
2θ = 71.79°, I = 28.7, (2 1 5)

Structural model:
a = 3.2859 Å, b = 3.2859 Å, c = 14.7281 Å
α = 90.00°, β = 90.00°, γ = 90.00°
Space group I4mm (No. 107)
Inequivalent atoms, fractional coordinates:
Cr1 0.0000 0.0000 0.0000 [2 per cell]
Sb1 0.0000 0.0000 0.3730 [2 per cell]
Br1 0.0000 0.0000 0.6093 [2 per cell]

Record 9
Diffraction record for CaEu3. The X-ray powder pattern is simulated, not measured: it uses a cell relaxed with GGA-PBE and Cu Kα.

Top 10 peaks for 2θ from 10° to 90°, low angle first:
2θ = 17.40°, I = 10.0, (1 1 1)
2θ = 20.11°, I = 5.4, (2 0 0)
2θ = 28.60°, I = 100.0, (2 2 0)
2θ = 33.67°, I = 6.3, (3 1 1)
2θ = 40.88°, I = 19.1, (4 0 0)
2θ = 50.65°, I = 40.6, (4 2 2)
2θ = 59.20°, I = 12.7, (4 4 0)
2θ = 67.04°, I = 17.4, (6 2 0)
2θ = 74.45°, I = 4.3, (4 4 4)
2θ = 81.60°, I = 20.4, (6 4 2)

Structural model:
a = 8.8290 Å, b = 8.8290 Å, c = 8.8290 Å
α = 90.00°, β = 90.00°, γ = 90.00°
Space group Fm-3m (No. 225)
Inequivalent atoms, fractional coordinates:
Ca1 0.0000 0.0000 0.0000 [4 per cell]
Eu1 0.0000 0.0000 0.5000 [4 per cell]
Eu2 0.2500 0.2500 0.2500 [8 per cell]

Record 10
Diffraction record for ErPaFeN4. The X-ray powder pattern is simulated, not measured: it uses a cell relaxed with GGA-PBE and Cu Kα.

Top 10 peaks for 2θ from 10° to 90°, low angle first:
2θ = 25.24°, I = 44.8, (1 0 1)
2θ = 29.95°, I = 18.0, (0 0 4)
2θ = 33.10°, I = 100.0, (1 0 3)
2θ = 34.34°, I = 64.2, (1 1 0)
2θ = 46.19°, I = 31.7, (1 1 4)
2θ = 49.35°, I = 28.3, (2 0 0)
2θ = 58.80°, I = 11.9, (2 0 4)
2θ = 59.74°, I = 14.6, (1 0 7)
2θ = 60.71°, I = 36.6, (2 1 3)
2θ = 81.06°, I = 12.7, (2 1 7)

Structural model:
a = 3.6936 Å, b = 3.6936 Å, c = 11.9337 Å
α = 90.00°, β = 90.00°, γ = 90.00°
Space group I4mm (No. 107)
Inequivalent atoms, fractional coordinates:
Er1 0.0000 0.0000 0.0000 [2 per cell]
Pa1 0.0000 0.0000 0.7184 [2 per cell]
Fe1 0.0000 0.0000 0.3643 [2 per cell]
N1 0.0000 0.0000 0.1870 [2 per cell]
N2 0.0000 0.0000 0.5374 [2 per cell]
N3 0.0000 0.5000 0.3553 [4 per cell]

Record 11
Diffraction record for K2InPbBr6. The X-ray powder pattern is simulated, not measured: it uses a cell relaxed with GGA-PBE and Cu Kα.

Top 10 peaks for 2θ from 10° to 90°, low angle first:
2θ = 15.09°, I = 100.0, (2 0 -1)
2θ = 21.40°, I = 26.0, (0 2 1)
2θ = 30.44°, I = 78.2, (0 4 0)
2θ = 34.15°, I = 67.8, (4 0 -1)
2θ = 37.52°, I = 12.6, (4 2 -1)
2θ = 43.59°, I = 51.3, (0 4 2)
2θ = 46.39°, I = 37.0, (4 2 0)
2θ = 54.11°, I = 15.9, (4 4 0)
2θ = 65.52°, I = 14.4, (4 4 1)
2θ = 71.86°, I = 16.1, (0 8 2)

Structural model:
a = 11.7236 Å, b = 11.7483 Å, c = 8.3014 Å
α = 90.00°, β = 134.91°, γ = 90.00°
Space group Cm (No. 8)
Inequivalent atoms, fractional coordinates:
K1 0.0000 0.2497 0.0000 [4 per cell]
In1 0.4209 0.0000 0.4997 [2 per cell]
Pb1 0.4217 0.5000 0.4996 [2 per cell]
Br1 0.1496 0.5000 0.9903 [2 per cell]
Br2 0.1590 0.0000 0.0091 [2 per cell]
Br3 0.1608 0.5000 0.5018 [2 per cell]
Br4 0.1712 0.0000 0.4981 [2 per cell]
Br5 0.4047 0.2452 0.4998 [4 per cell]

Record 12
Diffraction record for TiCd2RuO6. The X-ray powder pattern is simulated, not measured: it uses a cell relaxed with GGA-PBE and Cu Kα.

Top 10 peaks for 2θ from 10° to 90°, low angle first:
2θ = 31.91°, I = 56.1, (2 0 0)
2θ = 32.36°, I = 100.0, (1 1 1)
2θ = 39.72°, I = 16.3, (2 0 1)
2θ = 45.76°, I = 37.2, (2 2 0)
2θ = 47.07°, I = 10.5, (0 0 2)
2θ = 52.73°, I = 12.2, (1 1 2)
2θ = 57.15°, I = 38.2, (3 1 1)
2θ = 58.00°, I = 15.1, (2 0 2)
2θ = 66.71°, I = 10.7, (4 0 0)
2θ = 67.74°, I = 12.8, (2 2 2)

Structural model:
a = 5.6087 Å, b = 5.6087 Å, c = 3.8611 Å
α = 90.00°, β = 90.00°, γ = 90.00°
Space group P4mm (No. 99)
Inequivalent atoms, fractional coordinates:
Ti1 0.0000 0.0000 0.0000 [1 per cell]
Cd1 0.0000 0.5000 0.4215 [2 per cell]
Ru1 0.5000 0.5000 0.0249 [1 per cell]
O1 0.0000 0.0000 0.5281 [1 per cell]
O2 0.2484 0.2484 0.0441 [4 per cell]
O3 0.5000 0.5000 0.5274 [1 per cell]

Record 13
Diffraction record for NaPaCuO6. The X-ray powder pattern is simulated, not measured: it uses a cell relaxed with GGA-PBE and Cu Kα.

Top 10 peaks for 2θ from 10° to 90°, low angle first:
2θ = 19.29°, I = 52.8, (1 0 0)
2θ = 27.28°, I = 100.0, (1 0 1)
2θ = 33.73°, I = 28.5, (1 1 0)
2θ = 39.09°, I = 19.9, (1 1 1)
2θ = 43.66°, I = 12.3, (1 0 2)
2θ = 43.91°, I = 28.3, (2 0 1)
2θ = 52.33°, I = 28.4, (2 -1 2)
2θ = 56.49°, I = 27.2, (3 -1 1)
2θ = 60.33°, I = 10.3, (3 0 0)
2θ = 77.56°, I = 10.8, (4 -1 1)

Structural model:
a = 5.3143 Å, b = 5.3143 Å, c = 4.6438 Å
α = 90.00°, β = 90.00°, γ = 120.00°
Space group P312 (No. 149)
Inequivalent atoms, fractional coordinates:
Na1 0.0000 0.0000 0.0000 [1 per cell]
Pa1 0.6667 0.3333 0.5000 [1 per cell]
Cu1 0.3333 0.6667 0.0000 [1 per cell]
O1 0.0196 0.3870 0.2359 [6 per cell]

Record 14
Diffraction record for Y2ThFe2. The X-ray powder pattern is simulated, not measured: it uses a cell relaxed with GGA-PBE and Cu Kα.

Top 10 peaks for 2θ from 10° to 90°, low angle first:
2θ = 16.95°, I = 81.0, (1 1 0)
2θ = 29.12°, I = 62.7, (1 1 -2)
2θ = 29.91°, I = 74.2, (3 1 0)
2θ = 32.05°, I = 100.0, (0 2 1)
2θ = 33.01°, I = 72.0, (2 0 2)
2θ = 34.27°, I = 36.2, (3 1 1)
2θ = 36.26°, I = 65.1, (3 1 -2)
2θ = 37.68°, I = 60.8, (2 2 1)
2θ = 40.39°, I = 38.3, (1 1 -3)
2θ = 52.96°, I = 57.4, (3 3 -1)

Structural model:
a = 10.4495 Å, b = 6.0728 Å, c = 7.2156 Å
α = 90.00°, β = 99.93°, γ = 90.00°
Space group C2/c (No. 15)
Inequivalent atoms, fractional coordinates:
Y1 0.1543 0.1058 0.1496 [8 per cell]
Th1 0.0000 0.4165 0.7500 [4 per cell]
Fe1 0.1590 0.3380 0.5107 [8 per cell]